No. 1
# ZrHg3S2Br6
Simulated X-ray powder pattern, Cu Kα X-rays. Input: a crystal structure in the Materials Project, relaxed with GGA-PBE.
Peak positions follow from Bragg's law for the DFT cell and can differ from measured ones.

Top 10 peaks for 2θ = 15–90°, in order of falling intensity:
2θ = 29.36°, intensity 1000
2θ = 29.25°, intensity 839
2θ = 18.27°, intensity 772
2θ = 37.07°, intensity 640
2θ = 46.35°, intensity 451
2θ = 26.07°, intensity 411
2θ = 36.83°, intensity 390
2θ = 35.89°, intensity 370
2θ = 26.67°, intensity 354
2θ = 28.18°, intensity 348

Cell and atoms:
Cell: 7.1436 7.6640 13.6792 Å, 90.00 91.48 90.00°
Fractional positions:
Zr: 0.0000 0.0000 0.0000
Zr: 0.0000 0.5000 0.5000
Hg: 0.4922 0.2047 0.2406
Hg: 0.4922 0.2953 0.7406
Hg: 0.5000 0.0000 0.5000
Hg: 0.5000 0.5000 0.0000
Hg: 0.5078 0.7047 0.2594
Hg: 0.5078 0.7953 0.7594
S: 0.3625 0.5391 0.8318
S: 0.3625 0.9609 0.3318
S: 0.6375 0.0391 0.6682
S: 0.6375 0.4609 0.1682
Br: 0.1342 0.2011 0.5659
Br: 0.1342 0.2989 0.0659
Br: 0.1483 0.0508 0.8276
Br: 0.1483 0.4492 0.3276
Br: 0.3201 0.6496 0.5605
Br: 0.3201 0.8504 0.0605
Br: 0.6799 0.1496 0.9395
Br: 0.6799 0.3504 0.4395
Br: 0.8517 0.5508 0.6724
Br: 0.8517 0.9492 0.1724
Br: 0.8658 0.7011 0.9341
Br: 0.8658 0.7989 0.4341

No. 2
# TlHg6Se4Br5
Simulated X-ray powder pattern, Cu Kα X-rays. Input: a crystal structure in the Materials Project, relaxed with GGA-PBE.
Peak positions follow from Bragg's law for the DFT cell and can differ from measured ones.

Top 10 peaks for 2θ = 15–90°, in order of falling intensity:
2θ = 27.24°, intensity 1000
2θ = 30.54°, intensity 756
2θ = 33.31°, intensity 409
2θ = 32.17°, intensity 397
2θ = 50.87°, intensity 347
2θ = 39.66°, intensity 335
2θ = 18.80°, intensity 329
2θ = 38.13°, intensity 290
2θ = 16.48°, intensity 251
2θ = 43.74°, intensity 222

Cell and atoms:
Cell: 11.4911 11.4911 11.4911 Å, 99.00 99.00 133.40°
Fractional positions:
Tl: 0.2500 0.7500 0.5000
Tl: 0.7500 0.2500 0.5000
Hg: 0.0614 0.1984 0.7842
Hg: 0.1984 0.4142 0.1370
Hg: 0.2605 0.6363 0.8969
Hg: 0.2772 0.0614 0.8630
Hg: 0.3637 0.2605 0.6242
Hg: 0.4142 0.2772 0.2158
Hg: 0.5858 0.7228 0.7842
Hg: 0.6363 0.7395 0.3758
Hg: 0.7228 0.9386 0.1370
Hg: 0.7395 0.3637 0.1031
Hg: 0.8016 0.5858 0.8630
Hg: 0.9386 0.8016 0.2158
Se: 0.0191 0.3533 0.9260
Se: 0.0931 0.0191 0.6658
Se: 0.3533 0.4273 0.3342
Se: 0.4273 0.0931 0.0740
Se: 0.5727 0.9069 0.9260
Se: 0.6467 0.5727 0.6658
Se: 0.9069 0.9809 0.3342
Se: 0.9809 0.6467 0.0740
Br: 0.0000 0.0000 0.0000
Br: 0.0699 0.6685 0.7384
Br: 0.1875 0.4331 0.6207
Br: 0.3315 0.0699 0.4015
Br: 0.4331 0.8125 0.2456
Br: 0.5000 0.5000 0.0000
Br: 0.5669 0.1875 0.7544
Br: 0.6685 0.9301 0.5985
Br: 0.8125 0.5669 0.3793
Br: 0.9301 0.3315 0.2616

No. 3
# ZnHg3Se3Br2
Simulated X-ray powder pattern, Cu Kα X-rays. Input: a crystal structure in the Materials Project, relaxed with GGA-PBE.
Peak positions follow from Bragg's law for the DFT cell and can differ from measured ones.

Top 10 peaks for 2θ = 15–90°, in order of falling intensity:
2θ = 20.53°, intensity 1000
2θ = 22.34°, intensity 978
2θ = 20.64°, intensity 826
2θ = 25.92°, intensity 733
2θ = 19.38°, intensity 529
2θ = 33.60°, intensity 457
2θ = 25.32°, intensity 399
2θ = 27.08°, intensity 399
2θ = 40.72°, intensity 399
2θ = 33.16°, intensity 369

Cell and atoms:
Cell: 7.6734 9.6698 9.9412 Å, 108.74 107.22 102.33°
Fractional positions:
Zn: 0.0880 0.1840 0.1388
Zn: 0.9120 0.8160 0.8612
Hg: 0.0000 0.0000 0.5000
Hg: 0.0000 0.5000 0.0000
Hg: 0.0000 0.5000 0.5000
Hg: 0.5000 0.0000 0.0000
Hg: 0.5000 0.0000 0.5000
Hg: 0.5000 0.5000 0.0000
Se: 0.1506 0.2952 0.4154
Se: 0.2271 0.9650 0.0944
Se: 0.2876 0.4463 0.1480
Se: 0.7124 0.5537 0.8520
Se: 0.7729 0.0350 0.9056
Se: 0.8494 0.7048 0.5846
Br: 0.2027 0.7705 0.3923
Br: 0.3175 0.1422 0.7463
Br: 0.6825 0.8578 0.2537
Br: 0.7973 0.2295 0.6077

No. 4
# Hg3Te2Br2
Simulated X-ray powder pattern, Cu Kα X-rays. Input: a crystal structure in the Materials Project, relaxed with GGA-PBE.
Peak positions follow from Bragg's law for the DFT cell and can differ from measured ones.

Top 10 peaks for 2θ = 15–90°, in order of falling intensity:
2θ = 21.95°, intensity 1000
2θ = 28.45°, intensity 904
2θ = 46.69°, intensity 700
2θ = 36.22°, intensity 617
2θ = 33.81°, intensity 374
2θ = 38.50°, intensity 345
2θ = 53.89°, intensity 302
2θ = 44.76°, intensity 301
2θ = 66.67°, intensity 284
2θ = 31.24°, intensity 270

Cell and atoms:
Cell: 8.5906 8.5906 8.5906 Å, 109.47 109.47 109.47°
Fractional positions:
Hg: 0.1861 0.7500 0.9361
Hg: 0.2500 0.5639 0.3139
Hg: 0.3139 0.2500 0.5639
Hg: 0.5639 0.3139 0.2500
Hg: 0.7500 0.9361 0.1861
Hg: 0.9361 0.1861 0.7500
Te: 0.0000 0.9556 0.5000
Te: 0.5000 0.0000 0.9556
Te: 0.5444 0.5444 0.5444
Te: 0.9556 0.5000 0.0000
Br: 0.0000 0.4903 0.5000
Br: 0.0097 0.0097 0.0097
Br: 0.4903 0.5000 0.0000
Br: 0.5000 0.0000 0.4903

No. 5
# TlHg5Br11
Simulated X-ray powder pattern, Cu Kα X-rays. Input: a crystal structure in the Materials Project, relaxed with GGA-PBE.
Peak positions follow from Bragg's law for the DFT cell and can differ from measured ones.

Top 10 peaks for 2θ = 15–90°, in order of falling intensity:
2θ = 27.58°, intensity 1000
2θ = 26.96°, intensity 466
2θ = 27.45°, intensity 446
2θ = 31.40°, intensity 282
2θ = 21.22°, intensity 273
2θ = 19.27°, intensity 234
2θ = 42.65°, intensity 231
2θ = 44.47°, intensity 219
2θ = 29.08°, intensity 213
2θ = 18.62°, intensity 189

Cell and atoms:
Cell: 10.1899 10.1899 6.9601 Å, 107.69 107.69 101.21°
Fractional positions:
Tl: 0.0000 0.0000 0.0000
Hg: 0.0154 0.3489 0.6848
Hg: 0.3489 0.0154 0.6848
Hg: 0.5000 0.5000 0.0000
Hg: 0.6511 0.9846 0.3152
Hg: 0.9846 0.6511 0.3152
Br: 0.0000 0.0000 0.5000
Br: 0.1399 0.7038 0.6984
Br: 0.1691 0.4180 0.0732
Br: 0.2962 0.8601 0.3016
Br: 0.3516 0.3516 0.6090
Br: 0.4180 0.1691 0.0732
Br: 0.5820 0.8309 0.9268
Br: 0.6484 0.6484 0.3910
Br: 0.7038 0.1399 0.6984
Br: 0.8309 0.5820 0.9268
Br: 0.8601 0.2962 0.3016

Question: Number 5 is which compound?
Answer: TlHg5Br11